# 1
For Na2Cr7O14, a crystal structure in Alexandria, relaxed with GGA+U gives the calculated PXRD pattern in this record (λ = 1.5418 Å (Cu Kα)).
Kinematic intensities with the Lorentz-polarization factor, no thermal factor.

Atomic structure:
Cell: 10.0666 10.0666 10.0666 Å, 33.16 33.16 33.16°
Positions (direct):
Na 0.1878 0.1878 0.1878
Na 0.8122 0.8122 0.8122
Cr 0.0000 0.5000 0.5000
Cr 0.0755 0.0755 0.0755
Cr 0.4388 0.4388 0.4388
Cr 0.5000 0.0000 0.5000
Cr 0.5000 0.5000 0.0000
Cr 0.5612 0.5612 0.5612
Cr 0.9245 0.9245 0.9245
O 0.1374 0.1374 0.6180
O 0.1374 0.6180 0.1374
O 0.2009 0.7226 0.7226
O 0.2774 0.2774 0.7991
O 0.2774 0.7991 0.2774
O 0.3713 0.3713 0.3713
O 0.3820 0.8626 0.8626
O 0.6180 0.1374 0.1374
O 0.6287 0.6287 0.6287
O 0.7226 0.2009 0.7226
O 0.7226 0.7226 0.2009
O 0.7991 0.2774 0.2774
O 0.8626 0.3820 0.8626
O 0.8626 0.8626 0.3820

Main lines, low angle first (2θ = 10–90°):
| 2θ (°) | d [Å] | I_rel |
| --- | --- | --- |
| 21.78 | 4.080 | 39 |
| 28.17 | 3.168 | 28 |
| 30.86 | 2.897 | 100 |
| 31.14 | 2.872 | 38 |
| 36.55 | 2.458 | 54 |
| 39.52 | 2.280 | 64 |
| 50.88 | 1.795 | 34 |
| 55.23 | 1.663 | 36 |
| 58.58 | 1.576 | 31 |
| 64.92 | 1.436 | 54 |

# 2
For Na3CrO4, a crystal structure in Alexandria, relaxed with GGA+U gives the calculated PXRD pattern in this record (λ = 1.5418 Å (Cu Kα)).
Kinematic intensities with the Lorentz-polarization factor, no thermal factor.

Atomic structure:
Cell: 12.4083 7.0874 5.6742 Å, 90.00 90.00 90.00°
Positions (direct):
Na 0.0729 0.2500 0.2145
Na 0.1627 0.0015 0.7853
Na 0.1627 0.4985 0.7853
Na 0.3373 0.5015 0.2853
Na 0.3373 0.9985 0.2853
Na 0.4271 0.7500 0.7145
Na 0.5729 0.2500 0.2855
Na 0.6627 0.0015 0.7147
Na 0.6627 0.4985 0.7147
Na 0.8373 0.5015 0.2147
Na 0.8373 0.9985 0.2147
Na 0.9271 0.7500 0.7855
Cr 0.0897 0.7500 0.2953
Cr 0.4103 0.2500 0.7953
Cr 0.5897 0.7500 0.2047
Cr 0.9103 0.2500 0.7047
O 0.0432 0.2500 0.7965
O 0.0889 0.7500 0.6002
O 0.1579 0.5512 0.1955
O 0.1579 0.9488 0.1955
O 0.3421 0.0512 0.6955
O 0.3421 0.4488 0.6955
O 0.4111 0.2500 0.1002
O 0.4568 0.7500 0.2965
O 0.5432 0.2500 0.7035
O 0.5889 0.7500 0.8998
O 0.6579 0.5512 0.3045
O 0.6579 0.9488 0.3045
O 0.8421 0.0512 0.8045
O 0.8421 0.4488 0.8045
O 0.9111 0.2500 0.3998
O 0.9568 0.7500 0.2035

Main lines, low angle first (2θ = 10–90°):
| 2θ (°) | d [Å] | I_rel |
| --- | --- | --- |
| 19.01 | 4.668 | 72 |
| 20.05 | 4.430 | 62 |
| 21.24 | 4.183 | 47 |
| 28.78 | 3.102 | 52 |
| 29.02 | 3.077 | 100 |
| 31.53 | 2.837 | 99 |
| 33.12 | 2.705 | 72 |
| 43.38 | 2.086 | 35 |
| 51.14 | 1.786 | 55 |
| 61.33 | 1.512 | 33 |

# 3
For Na3CrO6, a crystal structure in Alexandria, relaxed with GGA+U gives the calculated PXRD pattern in this record (λ = 1.5418 Å (Cu Kα)).
Kinematic intensities with the Lorentz-polarization factor, no thermal factor.

Atomic structure:
Cell: 8.0378 8.0378 7.7139 Å, 90.00 90.00 109.84°
Positions (direct):
Na 0.0000 0.0000 0.0000
Na 0.0000 0.5000 0.5000
Na 0.5000 0.0000 0.5000
Cr 0.0000 0.0000 0.5000
O 0.0000 0.0000 0.2772
O 0.0000 0.0000 0.7228
O 0.0627 0.7790 0.5000
O 0.2210 0.9373 0.5000
O 0.7790 0.0627 0.5000
O 0.9373 0.2210 0.5000

Main lines, low angle first (2θ = 10–90°):
| 2θ (°) | d [Å] | I_rel |
| --- | --- | --- |
| 11.47 | 7.714 | 54 |
| 11.70 | 7.561 | 100 |
| 16.42 | 5.400 | 22 |
| 19.21 | 4.620 | 7 |
| 23.06 | 3.857 | 12 |
| 23.53 | 3.780 | 19 |
| 25.93 | 3.436 | 9 |
| 26.25 | 3.395 | 7 |
| 29.79 | 2.999 | 6 |
| 33.18 | 2.700 | 5 |

# 4
For Na4CrO3, a crystal structure in Alexandria, relaxed with GGA+U gives the calculated PXRD pattern in this record (λ = 1.5418 Å (Cu Kα)).
Kinematic intensities with the Lorentz-polarization factor, no thermal factor.

Atomic structure:
Cell: 6.3912 6.3912 8.2580 Å, 110.37 110.37 54.30°
Positions (direct):
Na 0.1409 0.8591 0.5000
Na 0.4076 0.9750 0.9079
Na 0.4436 0.7559 0.1997
Na 0.6054 0.9228 0.5950
Na 0.7559 0.4436 0.6997
Na 0.8591 0.1409 0.0000
Na 0.9228 0.6054 0.0950
Na 0.9750 0.4076 0.4079
Cr 0.2295 0.5094 0.8137
Cr 0.5094 0.2295 0.3137
O 0.1902 0.2073 0.6688
O 0.2073 0.1902 0.1688
O 0.5348 0.5391 0.9122
O 0.5391 0.5348 0.4122
O 0.7646 0.8669 0.3569
O 0.8669 0.7646 0.8569

Main lines, low angle first (2θ = 10–90°):
| 2θ (°) | d [Å] | I_rel |
| --- | --- | --- |
| 19.03 | 4.663 | 26 |
| 22.92 | 3.880 | 63 |
| 26.46 | 3.369 | 34 |
| 33.11 | 2.706 | 35 |
| 34.95 | 2.567 | 100 |
| 35.73 | 2.513 | 91 |
| 36.48 | 2.463 | 87 |
| 47.28 | 1.923 | 35 |
| 55.32 | 1.661 | 40 |
| 60.34 | 1.534 | 27 |

# 5
For Na7CrO6, a crystal structure in Alexandria, relaxed with GGA+U gives the calculated PXRD pattern in this record (λ = 1.5418 Å (Cu Kα)).
Kinematic intensities with the Lorentz-polarization factor, no thermal factor.

Atomic structure:
Cell: 8.8946 8.8946 8.8946 Å, 139.94 102.87 90.69°
Positions (direct):
Na 0.0370 0.2133 0.2503
Na 0.1191 0.5151 0.8579
Na 0.1572 0.0151 0.3961
Na 0.2500 0.2500 0.0000
Na 0.3428 0.7389 0.8579
Na 0.3809 0.2389 0.3961
Na 0.4630 0.7133 0.1763
Na 0.5370 0.2867 0.8237
Na 0.6191 0.7611 0.6039
Na 0.6572 0.2611 0.1421
Na 0.7500 0.7500 0.0000
Na 0.8428 0.9849 0.6039
Na 0.8809 0.4849 0.1421
Na 0.9630 0.7867 0.7497
Cr 0.2500 0.7500 0.5000
Cr 0.7500 0.2500 0.5000
O 0.0825 0.8484 0.5760
O 0.1587 0.8969 0.0556
O 0.2276 0.6516 0.2341
O 0.2724 0.5065 0.4240
O 0.3413 0.3969 0.7382
O 0.4175 0.9935 0.7659
O 0.5825 0.0065 0.2341
O 0.6587 0.6031 0.2618
O 0.7276 0.4935 0.5760
O 0.7724 0.3484 0.7659
O 0.8413 0.1031 0.9444
O 0.9175 0.1516 0.4240

Main lines, low angle first (2θ = 10–90°):
| 2θ (°) | d [Å] | I_rel |
| --- | --- | --- |
| 16.60 | 5.340 | 25 |
| 21.42 | 4.148 | 55 |
| 21.89 | 4.060 | 82 |
| 32.89 | 2.723 | 100 |
| 36.32 | 2.474 | 37 |
| 36.60 | 2.455 | 51 |
| 38.98 | 2.311 | 23 |
| 44.22 | 2.048 | 31 |
| 46.61 | 1.948 | 30 |
| 47.77 | 1.904 | 33 |